For Pa4MnGe, a cell relaxed with PBE gives the computed X-ray powder pattern in this record (Cu Kα, 1.54184 Å).

Most intense lines, 10° ≤ 2θ ≤ 90°, by intensity:
2θ = 34.27°, intensity 100, (1 2 1); 2θ = 32.88°, intensity 67, (1 1 2); 2θ = 29.92°, intensity 30, (2 0 0); 2θ = 41.34°, intensity 26, (0 1 3); 2θ = 35.58°, intensity 23, (2 1 1); 2θ = 39.75°, intensity 21, (2 0 2); 2θ = 56.90°, intensity 18, (1 1 4); 2θ = 67.31°, intensity 17, (2 3 3); 2θ = 55.95°, intensity 16, (3 2 1); 2θ = 25.57°, intensity 15, (0 0 2)

abc: 5.9734 6.4069 6.9680
angles: 90.00 90.00 90.00
Fractional coordinates of all 12 atoms:
Pa (0.1974, 0.1609, 0.3087)
Pa (0.1974, 0.8391, 0.6913)
Pa (0.2504, 0.3602, 0.8404)
Pa (0.2504, 0.6398, 0.1596)
Pa (0.7496, 0.3602, 0.1596)
Pa (0.7496, 0.6398, 0.8404)
Pa (0.8026, 0.1609, 0.6913)
Pa (0.8026, 0.8391, 0.3087)
Mn (0.0000, 0.5000, 0.5000)
Mn (0.5000, 0.0000, 0.5000)
Ge (0.5000, 0.0000, 0.0000)
Ge (0.5000, 0.5000, 0.5000)